Record 1
Theoretical X-ray powder pattern of Pu8HRh5 for Cu Kα, from a crystal structure in Alexandria, relaxed with GGA-PBE.

The 10 most intense peaks (2θ = 10–80°), low angle first:
- d 3.403, I 33
- d 2.996, I 32
- d 2.924, I 39
- d 2.735, I 80
- d 2.628, I 57
- d 2.615, I 100
- d 2.281, I 83
- d 2.241, I 36
- d 2.218, I 29
- d 1.649, I 33

Atomic structure:
Cell lengths 8.271, 8.271, 8.693 Å; angles 90.00, 90.00, 90.00 degrees
Space group I-4 (No. 82)
One atom of each set of equivalent atoms:
1 Pu 0.063 0.316 0.419 [8 per cell]
2 Pu 0.065 0.213 0.784 [8 per cell]
3 H 0.000 0.500 0.750 [2 per cell]
4 Rh 0.000 0.000 0.500 [2 per cell]
5 Rh 0.104 0.221 0.102 [8 per cell]

Record 2
Theoretical X-ray powder pattern of Nb2CrMo8 for Cu Kα, from a crystal structure in Alexandria, relaxed with GGA-PBE.

The 10 most intense peaks (2θ = 10–80°), low angle first:
- d 2.411, I 34
- d 2.331, I 22
- d 2.322, I 20
- d 2.300, I 99
- d 2.281, I 32
- d 2.200, I 100
- d 2.182, I 24
- d 2.171, I 67
- d 2.150, I 26
- d 1.653, I 20

Atomic structure:
Cell lengths 2.707, 6.821, 10.521 Å; angles 103.90, 90.37, 100.01 degrees
Space group P1 (No. 1)
One atom of each set of equivalent atoms:
1 Nb 0.000 0.000 0.000 [1 per cell]
2 Nb 0.107 0.392 0.446 [1 per cell]
3 Cr 0.236 0.660 0.832 [1 per cell]
4 Mo 0.219 0.678 0.091 [1 per cell]
5 Mo 0.390 0.353 0.686 [1 per cell]
6 Mo 0.437 0.356 0.178 [1 per cell]
7 Mo 0.454 0.016 0.512 [1 per cell]
8 Mo 0.672 0.028 0.262 [1 per cell]
9 Mo 0.714 0.339 0.917 [1 per cell]
10 Mo 0.758 0.963 0.741 [1 per cell]
11 Mo 0.871 0.697 0.339 [1 per cell]

Record 3
Theoretical X-ray powder pattern of H2PdS4O14 for Cu Kα, from a crystal structure in Alexandria, relaxed with GGA-PBE.

The 10 most intense peaks (2θ = 10–80°), low angle first:
- d 8.444, I 91
- d 5.298, I 49
- d 4.265, I 34
- d 4.061, I 28
- d 3.916, I 100
- d 3.643, I 57
- d 3.239, I 27
- d 2.824, I 24
- d 2.696, I 20
- d 2.386, I 27

Atomic structure:
Cell lengths 9.457, 7.007, 9.554 Å; angles 90.00, 116.77, 90.00 degrees
Space group P2_1/c (No. 14)
One atom of each set of equivalent atoms:
1 H 0.023 0.213 0.441 [4 per cell]
2 Pd 0.500 0.000 0.000 [2 per cell]
3 S 0.222 0.142 0.397 [4 per cell]
4 S 0.303 0.672 0.122 [4 per cell]
5 O 0.120 0.020 0.274 [4 per cell]
6 O 0.135 0.240 0.972 [4 per cell]
7 O 0.148 0.629 0.107 [4 per cell]
8 O 0.308 0.664 0.529 [4 per cell]
9 O 0.324 0.228 0.866 [4 per cell]
10 O 0.351 0.018 0.543 [4 per cell]
11 O 0.435 0.668 0.279 [4 per cell]

Record 4
Theoretical X-ray powder pattern of Cd2TcIrO6 for Cu Kα, from a crystal structure in Alexandria, relaxed with GGA-PBE.

The 10 most intense peaks (2θ = 10–80°), low angle first:
- d 2.840, I 100
- d 2.718, I 44
- d 2.107, I 20
- d 1.922, I 25
- d 1.665, I 21
- d 1.592, I 37
- d 1.420, I 18
- d 1.359, I 8
- d 1.319, I 10
- d 1.226, I 8

Atomic structure:
Cell lengths 5.437, 5.437, 4.214 Å; angles 90.00, 90.00, 90.00 degrees
Space group P4/mmm (No. 123)
One atom of each set of equivalent atoms:
1 Cd 0.000 0.500 0.000 [2 per cell]
2 Tc 0.000 0.000 0.500 [1 per cell]
3 Ir 0.500 0.500 0.500 [1 per cell]
4 O 0.000 0.000 0.000 [1 per cell]
5 O 0.248 0.248 0.500 [4 per cell]
6 O 0.500 0.500 0.000 [1 per cell]

Record 5
Theoretical X-ray powder pattern of Ca3YHf for Cu Kα, from a crystal structure in Alexandria, relaxed with GGA-PBE.

The 10 most intense peaks (2θ = 10–80°), low angle first:
- d 5.758, I 36
- d 4.072, I 100
- d 2.879, I 65
- d 2.575, I 20
- d 2.351, I 48
- d 2.036, I 47
- d 1.821, I 22
- d 1.662, I 16
- d 1.539, I 26
- d 1.288, I 20

Atomic structure:
Cell lengths 5.758, 5.758, 5.758 Å; angles 90.00, 90.00, 90.00 degrees
Space group Pm-3m (No. 221)
One atom of each set of equivalent atoms:
1 Ca 0.000 0.000 0.500 [3 per cell]
2 Y 0.500 0.500 0.500 [1 per cell]
3 Hf 0.000 0.000 0.000 [1 per cell]

Record 6
Theoretical X-ray powder pattern of Nd5HoRh4 for Cu Kα, from a crystal structure in Alexandria, relaxed with GGA-PBE.

The 10 most intense peaks (2θ = 10–80°), low angle first:
- d 3.413, I 31
- d 2.845, I 47
- d 2.787, I 100
- d 2.176, I 59
- d 2.134, I 26
- d 1.884, I 17
- d 1.846, I 19
- d 1.707, I 21
- d 1.571, I 16
- d 1.265, I 16

Atomic structure:
Cell lengths 18.653, 4.268, 7.538 Å; angles 90.00, 113.78, 90.00 degrees
Space group C2/m (No. 12)
One atom of each set of equivalent atoms:
1 Nd 0.000 0.000 0.000 [2 per cell]
2 Nd 0.164 0.500 0.419 [4 per cell]
3 Nd 0.164 0.500 0.908 [4 per cell]
4 Ho 0.000 0.000 0.500 [2 per cell]
5 Rh 0.000 0.500 0.256 [4 per cell]
6 Rh 0.198 0.000 0.697 [4 per cell]